This entry pairs a crystal structure of LiVSi4H2O12 with its theoretical XRD peak list. Radiation: Cu Kα (λ = 1.5418 Å). Structure: the GGA+U geometry in Alexandria.

Atomic structure:
```
data_LiVSi4H2O12
_cell_length_a 7.327
_cell_length_b 8.132
_cell_length_c 9.149
_cell_angle_alpha 64.95
_cell_angle_beta 89.60
_cell_angle_gamma 89.16
_symmetry_space_group_name_H-M 'P -1'
_symmetry_Int_Tables_number 2
_symmetry_space_group_name_Hall '-P 1'
loop_
_atom_site_label
_atom_site_fract_x
_atom_site_fract_y
_atom_site_fract_z
Li1 0.118 0.292 0.311
V1 0.000 0.500 0.500
V2 0.500 0.000 0.500
Si1 0.114 0.935 0.342
Si2 0.248 0.897 0.812
Si3 0.253 0.707 0.184
Si4 0.379 0.273 0.673
H1 0.303 0.463 0.037
H2 0.406 0.290 0.166
O1 0.031 0.744 0.476
O2 0.046 0.904 0.731
O3 0.109 0.552 0.294
O4 0.200 0.899 0.193
O5 0.229 0.437 0.594
O6 0.245 0.736 0.996
O7 0.258 0.031 0.416
O8 0.283 0.094 0.815
O9 0.285 0.344 0.125
O10 0.408 0.849 0.712
O11 0.462 0.205 0.540
O12 0.462 0.651 0.248
```

The 10 most intense peaks (10° ≤ 2θ ≤ 90°), in order of falling intensity:
h k l	d [Å]	intensity
0 0 1	8.289	1000
2 0 1	3.351	595
1 1 1	5.175	593
0 2 1	4.065	328
0 1 0	7.367	308
1 1 -2	2.856	292
-1 1 2	3.833	234
-1 1 3	2.806	205
1 2 0	3.307	199
3 1 2	2.155	178